# SmCoGe
Simulated PXRD pattern, λ = 1.5418 Å (Cu Kα). Input: the GGA-PBE geometry in the Materials Project.

Principal peaks in the range 2θ from 10° to 80°, in order of falling intensity:
two_theta, I (rel.), (hkl)
34.8, 100.0, 2 1 1
35.2, 80.1, 1 1 2
41.5, 48.1, 0 2 0
44.0, 29.0, 0 1 3
39.7, 27.0, 3 0 1
35.8, 23.5, 2 0 2
69.9, 20.4, 3 1 4
40.6, 20.0, 1 0 3
24.1, 17.9, 0 1 1
58.8, 16.5, 3 2 1
56.9, 13.6, 4 1 1
59.4, 13.0, 1 2 3

Cell and atoms:
```
data_SmCoGe
_chemical_formula_sum 'Sm4 Co4 Ge4'
_cell_length_a 7.192
_cell_length_b 4.357
_cell_length_c 7.007
_cell_angle_alpha 90.00
_cell_angle_beta 90.00
_cell_angle_gamma 90.00
_symmetry_space_group_name_H-M 'P n m a'
_symmetry_Int_Tables_number 62
loop_
_symmetry_equiv_pos_as_xyz
'x,y,z'
'-x,-y,-z'
'-x+1/2,-y,z+1/2'
'x+1/2,y,-z+1/2'
'x+1/2,-y+1/2,-z+1/2'
'-x+1/2,y+1/2,z+1/2'
'-x,y+1/2,-z'
'x,-y+1/2,z'
loop_
_atom_site_label
_atom_site_type_symbol
_atom_site_fract_x
_atom_site_fract_y
_atom_site_fract_z
Sm1 Sm 0.022 0.250 0.188
Co1 Co 0.144 0.750 0.432
Ge1 Ge 0.195 0.250 0.607
```